Starting from a DFT-relaxed cell (GGA-PBE, Alexandria), the powder XRD pattern of DyPuCoPd was computed for Cu Ka.
Intensities are scaled so that the largest is 100.

Peak list (8 most intense, 10 to 80 degrees two-theta, most intense first)
2.428 Å, intensity 100; 1.402 Å, intensity 36; 3.434 Å, intensity 19; 1.717 Å, intensity 18; 1.214 Å, intensity 11; 1.536 Å, intensity 8; 1.982 Å, intensity 6; 3.965 Å, intensity 5

Lattice parameters (Å, degrees): 4.856 4.856 4.856 60.00 60.00 60.00
Sites, in units of the cell vectors:
Dy: 0.000 0.000 0.000
Pu: 0.500 0.500 0.500
Co: 0.250 0.250 0.250
Pd: 0.750 0.750 0.750